For Li2InRh, a structure optimized by DFT (GGA-PBE) gives the calculated XRD peak list in this record (CuKα).

Principal peaks in the range 2θ = 10–90°, by angle:
2θ (°), d/Å, intensity
24.4, 3.651, 100
40.3, 2.236, 94
47.7, 1.907, 48
58.4, 1.581, 15
64.2, 1.451, 19
73.3, 1.291, 31
78.6, 1.217, 14
87.2, 1.118, 10

Crystal structure
a = 6.3236 Å, b = 6.3236 Å, c = 6.3236 Å
α = 90.00°, β = 90.00°, γ = 90.00°
Space group F-43m (No. 216)
Unique sites:
Li  0.0000  0.0000  0.0000 [4 per cell]
Li  0.2500  0.2500  0.2500 [4 per cell]
In  0.2500  0.2500  0.7500 [4 per cell]
Rh  0.0000  0.0000  0.5000 [4 per cell]